Structure and calculated powder diffraction line list of Tm2AgAu3 (a structure optimized by DFT (PBE); λ = 1.5418 Å (Cu Kα)).
Kinematic intensities with the Lorentz-polarization factor, no thermal factor.

The 10 most intense peaks (5° ≤ 2θ ≤ 70°), most intense first:
two_theta  I/Imax
38.50  100
34.30  69
64.22  45
49.29  25
61.43  6
9.77  3
26.03  1
31.23  1
24.07  1
45.92  1

Structural model:
```
data_Tm2AgAu3
_cell_length_a 3.698
_cell_length_b 3.698
_cell_length_c 9.056
_cell_angle_alpha 90.00
_cell_angle_beta 90.00
_cell_angle_gamma 90.00
_space_group_name_H-M_alt 'P 1'
_space_group_IT_number 1
loop_
_space_group_symop_operation_xyz
'x,y,z'
loop_
_atom_site_label
_atom_site_type_symbol
_atom_site_fract_x
_atom_site_fract_y
_atom_site_fract_z
Tm1 Tm 0.000 0.000 0.000
Tm2 Tm 0.500 0.500 0.491
Ag1 Ag 0.000 0.000 0.668
Au1 Au 0.000 0.000 0.338
Au2 Au 0.500 0.500 0.159
Au3 Au 0.500 0.500 0.829
```

---

Structure and calculated powder diffraction line list of YAg6Au (a structure optimized by DFT (PBE); λ = 1.5418 Å (Cu Kα)).
Kinematic intensities with the Lorentz-polarization factor, no thermal factor.

The 10 most intense peaks (5° ≤ 2θ ≤ 70°), most intense first:
two_theta  I/Imax
39.27  100
39.47  54
36.59  42
34.57  28
67.67  19
51.22  17
62.23  16
34.79  10
67.81  10
61.81  8

Structural model:
```
data_YAg6Au
_cell_length_a 4.911
_cell_length_b 6.004
_cell_length_c 5.157
_cell_angle_alpha 90.00
_cell_angle_beta 90.00
_cell_angle_gamma 90.00
_space_group_name_H-M_alt 'P 1'
_space_group_IT_number 1
loop_
_space_group_symop_operation_xyz
'x,y,z'
loop_
_atom_site_label
_atom_site_type_symbol
_atom_site_fract_x
_atom_site_fract_y
_atom_site_fract_z
Y1 Y 0.000 0.000 0.000
Ag1 Ag 0.000 0.264 0.499
Ag2 Ag 0.000 0.500 0.998
Ag3 Ag 0.000 0.736 0.499
Ag4 Ag 0.500 0.000 0.647
Ag5 Ag 0.500 0.260 0.176
Ag6 Ag 0.500 0.740 0.176
Au1 Au 0.500 0.500 0.685
```